Record 1
For ScTaMo, a structure optimized by DFT (PBE) gives the computed XRD peak list in this record (Cu Kα (weighted mean of Kα1 and Kα2)).
Neutral-atom scattering factors, no anomalous dispersion.

Peak list (10 most intense, 2θ from 10° to 80°, in order of rising 2θ)
2θ/deg	Rel. int.
19.45	24
20.24	100
37.76	87
39.02	69
39.49	66
41.14	60
46.69	29
50.98	19
62.76	20
68.66	34

Structural model:
Lattice parameters (Å, degrees): 5.473 5.473 5.473 121.54 117.56 90.82
Fractional positions:
Sc 0.373 0.123 0.250
Sc 0.627 0.877 0.750
Ta 0.000 0.500 0.500
Ta 0.500 0.500 0.000
Mo 0.000 0.000 0.500
Mo 0.000 0.500 0.000

Record 2
For ScTa2Mo, a structure optimized by DFT (PBE) gives the computed XRD peak list in this record (Cu Kα (weighted mean of Kα1 and Kα2)).
Neutral-atom scattering factors, no anomalous dispersion.

Peak list (10 most intense, 2θ from 10° to 80°, in order of rising 2θ)
2θ/deg	Rel. int.
19.12	52
37.93	92
38.24	100
38.50	49
38.80	50
45.58	14
54.09	18
55.81	33
69.67	33
69.88	17

Structural model:
Lattice parameters (Å, degrees): 2.904 4.641 5.575 90.00 101.56 90.00
Fractional positions:
Sc 0.000 0.000 0.000
Ta 0.303 0.500 0.733
Ta 0.697 0.500 0.267
Mo 0.500 0.000 0.500

Record 3
For ScTaMo2, a structure optimized by DFT (PBE) gives the computed XRD peak list in this record (Cu Kα (weighted mean of Kα1 and Kα2)).
Neutral-atom scattering factors, no anomalous dispersion.

Peak list (10 most intense, 2θ from 10° to 80°, in order of rising 2θ)
2θ/deg	Rel. int.
19.00	14
21.31	15
33.72	8
38.60	50
38.99	100
55.73	16
56.92	14
70.04	14
70.17	17
70.88	18

Structural model:
Lattice parameters (Å, degrees): 5.464 5.464 5.464 145.55 129.53 62.55
Fractional positions:
Sc 0.000 0.000 0.000
Ta 0.271 0.771 0.500
Mo 0.517 0.517 0.000
Mo 0.739 0.239 0.500

Record 4
For ScTc2Mo, a structure optimized by DFT (PBE) gives the computed XRD peak list in this record (Cu Kα (weighted mean of Kα1 and Kα2)).
Neutral-atom scattering factors, no anomalous dispersion.

Peak list (10 most intense, 2θ from 10° to 80°, in order of rising 2θ)
2θ/deg	Rel. int.
21.69	10
38.82	28
40.21	100
41.32	22
57.99	16
58.36	8
71.22	17
72.32	8
74.00	7
74.59	14

Structural model:
Lattice parameters (Å, degrees): 5.194 5.194 5.194 144.55 126.94 65.44
Fractional positions:
Sc 0.000 0.000 0.000
Tc 0.262 0.762 0.500
Tc 0.738 0.238 0.500
Mo 0.500 0.500 0.000

Record 5
For ThScMo4, a structure optimized by DFT (PBE) gives the computed XRD peak list in this record (Cu Kα (weighted mean of Kα1 and Kα2)).
Neutral-atom scattering factors, no anomalous dispersion.

Peak list (10 most intense, 2θ from 10° to 80°, in order of rising 2θ)
2θ/deg	Rel. int.
19.77	17
22.87	18
32.56	34
38.39	100
40.17	33
52.63	8
58.10	13
62.00	32
68.21	24
77.65	6

Structural model:
Lattice parameters (Å, degrees): 5.499 5.499 5.499 60.00 60.00 60.00
Fractional positions:
Th 0.000 0.000 0.000
Sc 0.250 0.250 0.250
Mo 0.125 0.625 0.625
Mo 0.625 0.125 0.625
Mo 0.625 0.625 0.125
Mo 0.625 0.625 0.625

Record 6
For ScTi12Mo6, a structure optimized by DFT (PBE) gives the computed XRD peak list in this record (Cu Kα (weighted mean of Kα1 and Kα2)).
Neutral-atom scattering factors, no anomalous dispersion.

Peak list (10 most intense, 2θ from 10° to 80°, in order of rising 2θ)
2θ/deg	Rel. int.
13.12	54
15.21	47
25.33	61
26.42	50
30.65	50
40.08	72
40.20	100
40.94	51
43.74	71
49.42	48

Structural model:
Lattice parameters (Å, degrees): 7.377 7.377 7.377 104.34 104.34 104.34
Fractional positions:
Sc 0.000 0.000 0.000
Ti 0.118 0.500 0.882
Ti 0.118 0.882 0.500
Ti 0.149 0.414 0.414
Ti 0.414 0.149 0.414
Ti 0.414 0.414 0.149
Ti 0.500 0.118 0.882
Ti 0.500 0.882 0.118
Ti 0.586 0.586 0.851
Ti 0.586 0.851 0.586
Ti 0.851 0.586 0.586
Ti 0.882 0.118 0.500
Ti 0.882 0.500 0.118
Mo 0.274 0.274 0.695
Mo 0.274 0.695 0.274
Mo 0.305 0.726 0.726
Mo 0.695 0.274 0.274
Mo 0.726 0.305 0.726
Mo 0.726 0.726 0.305

Record 7
For ScTiMo4, a structure optimized by DFT (PBE) gives the computed XRD peak list in this record (Cu Kα (weighted mean of Kα1 and Kα2)).
Neutral-atom scattering factors, no anomalous dispersion.

Peak list (10 most intense, 2θ from 10° to 80°, in order of rising 2θ)
2θ/deg	Rel. int.
20.50	47
33.78	10
39.84	100
41.69	66
48.52	19
53.20	11
60.42	3
64.52	30
71.05	29
74.84	8

Structural model:
Lattice parameters (Å, degrees): 5.307 5.307 5.307 60.00 60.00 60.00
Fractional positions:
Sc 0.000 0.000 0.000
Ti 0.250 0.250 0.250
Mo 0.125 0.625 0.625
Mo 0.625 0.125 0.625
Mo 0.625 0.625 0.125
Mo 0.625 0.625 0.625

Record 8
For ScUMo, a structure optimized by DFT (PBE) gives the computed XRD peak list in this record (Cu Kα (weighted mean of Kα1 and Kα2)).
Neutral-atom scattering factors, no anomalous dispersion.

Peak list (10 most intense, 2θ from 10° to 80°, in order of rising 2θ)
2θ/deg	Rel. int.
18.06	95
20.77	34
29.78	100
33.12	32
34.84	20
35.25	19
39.61	40
42.27	19
42.97	21
50.18	40

Structural model:
Lattice parameters (Å, degrees): 6.048 6.048 8.420 90.00 90.00 90.00
Fractional positions:
Sc 0.205 0.205 0.000
Sc 0.295 0.705 0.250
Sc 0.705 0.295 0.750
Sc 0.795 0.795 0.500
U 0.192 0.192 0.500
U 0.308 0.692 0.750
U 0.692 0.308 0.250
U 0.808 0.808 0.000
Mo 0.033 0.967 0.750
Mo 0.467 0.467 0.500
Mo 0.533 0.533 0.000
Mo 0.967 0.033 0.250